This entry pairs a crystal structure of NaZrGaP2SO12 with its calculated PXRD pattern. Radiation: Cu Kα X-rays. Structure: a crystal structure in the Materials Project, relaxed with PBE.

Crystal structure
Cell lengths 15.1068, 8.7730, 9.2084 Å; angles 90.00, 124.16, 90.00 degrees
Space group Cc (No. 9)
Symmetry-distinct sites (fractional):
Na: 0.0000 0.2431 0.0000 x4
Zr: 0.1449 0.2483 0.4488 x4
Ga: 0.3468 0.2707 0.0665 x4
P: 0.1038 0.1146 0.7650 x4
P: 0.2549 0.4584 0.2634 x4
S: 0.3941 0.0961 0.7658 x4
O: 0.0032 0.1892 0.7389 x4
O: 0.0991 0.0617 0.2818 x4
O: 0.1066 0.1369 0.6004 x4
O: 0.1765 0.3574 0.2802 x4
O: 0.1845 0.4421 0.5986 x4
O: 0.2046 0.1800 0.9306 x4
O: 0.3020 0.1672 0.6049 x4
O: 0.3255 0.4446 0.9284 x4
O: 0.3304 0.3548 0.2444 x4
O: 0.3940 0.1276 0.9226 x4
O: 0.3978 0.0692 0.2434 x4
O: 0.4877 0.1696 0.7779 x4

Peak list (10 most intense, 10° ≤ 2θ ≤ 90°, sorted by position)
2θ 19.31, intensity 29, hkl 2 0 -2
2θ 19.53, intensity 51, hkl 1 1 1
2θ 20.31, intensity 100, hkl 0 2 0
2θ 23.36, intensity 88, hkl 0 2 1
2θ 23.64, intensity 39, hkl 3 1 0
2θ 28.12, intensity 41, hkl 2 2 -2
2θ 30.91, intensity 36, hkl 3 1 -3
2θ 31.09, intensity 35, hkl 0 2 2
2θ 31.40, intensity 40, hkl 3 1 1
2θ 35.50, intensity 30, hkl 3 3 -1